Simulated powder X-ray diffraction pattern
Compound: La3TlRu
Radiation: Cu Kα, 1.54184 Å
Structure: a crystal structure in Alexandria, relaxed with GGA-PBE
Lines closer than 0.1° are merged.

Cell lengths 8.7143, 4.8679, 14.3993 Å; angles 90.00, 90.00, 90.00 degrees
Space group Pnma (No. 62)
One atom of each set of equivalent atoms:
La1 0.0045 0.2500 0.1093 (multiplicity 4)
La2 0.1380 0.7500 0.4918 (multiplicity 4)
La3 0.1739 0.2500 0.7079 (multiplicity 4)
Tl1 0.1243 0.2500 0.3306 (multiplicity 4)
Ru1 0.2055 0.7500 0.0452 (multiplicity 4)

Principal peaks in the range 2θ = 10–90°, in order of falling intensity:
2θ (°)  d [Å]  I (rel.)  index
30.2  2.960  100  2 1 2
28.0  3.182  57  1 1 3
36.9  2.434  51  0 2 0
36.2  2.480  41  0 1 5
32.8  2.734  35  1 0 5
28.2  3.167  30  2 1 1
50.2  1.818  21  1 2 5
49.2  1.851  20  3 2 1
31.4  2.847  20  3 0 1
40.8  2.213  18  3 1 3
33.3  2.691  17  3 0 2
38.2  2.357  17  3 1 2